Structure and calculated X-ray diffraction stick pattern of SrAcB12 (a PBE-relaxed structure; copper Kα).
Kinematic intensities with the Lorentz-polarization factor, no thermal factor.

The 10 most intense peaks (2θ = 10–90°), most intense first:
2.970 Å, intensity 100; 4.200 Å, intensity 66; 1.878 Å, intensity 51; 2.425 Å, intensity 42; 4.849 Å, intensity 36; 1.400 Å, intensity 29; 1.714 Å, intensity 29; 2.532 Å, intensity 22; 2.100 Å, intensity 22; 1.328 Å, intensity 20

Structural model:
```
SrAcB12
1.0
0.000 4.200 4.200
4.200 0.000 4.200
4.200 4.200 0.000
Sr Ac B
1 1 12
Direct
0.000 0.000 0.000
0.500 0.500 0.500
0.101 0.101 0.399
0.101 0.399 0.101
0.101 0.399 0.399
0.399 0.101 0.101
0.399 0.101 0.399
0.399 0.399 0.101
0.601 0.601 0.899
0.601 0.899 0.601
0.601 0.899 0.899
0.899 0.601 0.601
0.899 0.601 0.899
0.899 0.899 0.601
```

Structure and calculated X-ray diffraction stick pattern of Li5Pb3 (a PBE-relaxed structure; copper Kα).
Kinematic intensities with the Lorentz-polarization factor, no thermal factor.

The 10 most intense peaks (2θ = 10–90°), most intense first:
3.480 Å, intensity 100; 2.440 Å, intensity 91; 3.423 Å, intensity 48; 2.461 Å, intensity 47; 1.998 Å, intensity 45; 4.631 Å, intensity 40; 1.417 Å, intensity 34; 6.846 Å, intensity 25; 3.346 Å, intensity 25; 1.556 Å, intensity 21

Structural model:
```
Li5Pb3
1.0
-2.461 2.461 6.846
2.461 -2.461 6.846
2.461 2.461 -6.846
Li Pb
5 3
Direct
0.000 0.000 0.000
0.121 0.621 0.500
0.379 0.879 0.500
0.621 0.121 0.500
0.879 0.379 0.500
0.247 0.247 0.000
0.500 0.500 0.000
0.753 0.753 0.000
```

Structure and calculated X-ray diffraction stick pattern of Ce2YTl2Zn2 (a PBE-relaxed structure; copper Kα).
Kinematic intensities with the Lorentz-polarization factor, no thermal factor.

The 10 most intense peaks (2θ = 10–90°), most intense first:
2.810 Å, intensity 100; 2.297 Å, intensity 71; 1.778 Å, intensity 38; 1.406 Å, intensity 29; 3.825 Å, intensity 26; 2.617 Å, intensity 17; 1.442 Å, intensity 13; 1.326 Å, intensity 12; 1.843 Å, intensity 9; 1.148 Å, intensity 8

Structural model:
```
Ce2YTl2Zn2
1.0
2.297 1.326 9.264
-2.297 1.326 9.264
0.000 -2.652 9.264
Ce Y Tl Zn
2 1 2 2
Direct
0.144 0.144 0.144
0.856 0.856 0.856
0.000 0.000 0.000
0.270 0.270 0.270
0.730 0.730 0.730
0.420 0.420 0.420
0.580 0.580 0.580
```

Structure and calculated X-ray diffraction stick pattern of K2UAl2O6 (a PBE-relaxed structure; copper Kα).
Kinematic intensities with the Lorentz-polarization factor, no thermal factor.

The 10 most intense peaks (2θ = 10–90°), most intense first:
4.480 Å, intensity 100; 4.922 Å, intensity 94; 3.019 Å, intensity 90; 2.945 Å, intensity 83; 3.450 Å, intensity 75; 6.244 Å, intensity 68; 1.700 Å, intensity 57; 2.240 Å, intensity 49; 1.714 Å, intensity 33; 2.664 Å, intensity 33

Structural model:
```
K2UAl2O6
1.0
2.945 1.700 6.244
-2.945 1.700 6.244
0.000 -3.401 6.244
K U Al O
2 1 2 6
Direct
0.227 0.227 0.227
0.773 0.773 0.773
0.000 0.000 0.000
0.431 0.431 0.431
0.569 0.569 0.569
0.233 0.233 0.729
0.233 0.729 0.233
0.271 0.767 0.767
0.729 0.233 0.233
0.767 0.271 0.767
0.767 0.767 0.271
```

Structure and calculated X-ray diffraction stick pattern of RbTaBO5 (a PBE-relaxed structure; copper Kα).
Kinematic intensities with the Lorentz-polarization factor, no thermal factor.

The 10 most intense peaks (2θ = 10–90°), most intense first:
3.459 Å, intensity 100; 5.043 Å, intensity 90; 2.703 Å, intensity 61; 3.036 Å, intensity 53; 2.666 Å, intensity 39; 2.549 Å, intensity 26; 4.528 Å, intensity 25; 2.207 Å, intensity 22; 2.365 Å, intensity 21; 1.825 Å, intensity 17

Structural model:
```
RbTaBO5
1.0
3.454 -4.528 0.000
3.454 4.528 0.000
-3.329 0.000 6.599
Rb Ta B O
2 2 2 10
Direct
0.085 0.915 0.750
0.915 0.085 0.250
0.000 0.500 0.000
0.500 0.000 0.500
0.447 0.553 0.750
0.553 0.447 0.250
0.194 0.806 0.250
0.268 0.354 0.119
0.278 0.588 0.874
0.354 0.268 0.619
0.412 0.722 0.626
0.588 0.278 0.374
0.646 0.732 0.381
0.722 0.412 0.126
0.732 0.646 0.881
0.806 0.194 0.750
```

Structure and calculated X-ray diffraction stick pattern of Pm2Au17 (a PBE-relaxed structure; copper Kα).
Kinematic intensities with the Lorentz-polarization factor, no thermal factor.

The 10 most intense peaks (2θ = 10–90°), most intense first:
2.403 Å, intensity 100; 2.149 Å, intensity 62; 2.389 Å, intensity 24; 1.381 Å, intensity 23; 2.363 Å, intensity 23; 2.778 Å, intensity 20; 1.389 Å, intensity 18; 2.717 Å, intensity 17; 2.140 Å, intensity 16; 4.812 Å, intensity 12

Structural model:
```
Pm2Au17
1.0
4.812 2.778 4.778
-4.812 2.778 4.778
0.000 -5.557 4.778
Pm Au
2 17
Direct
0.165 0.165 0.165
0.835 0.835 0.835
0.000 0.500 0.500
0.143 0.143 0.659
0.143 0.659 0.143
0.195 0.500 0.805
0.195 0.805 0.500
0.341 0.857 0.857
0.397 0.397 0.397
0.500 0.000 0.500
0.500 0.195 0.805
0.500 0.500 0.000
0.500 0.805 0.195
0.603 0.603 0.603
0.659 0.143 0.143
0.805 0.195 0.500
0.805 0.500 0.195
0.857 0.341 0.857
0.857 0.857 0.341
```

Structure and calculated X-ray diffraction stick pattern of GaS5Br (a PBE-relaxed structure; copper Kα).
Kinematic intensities with the Lorentz-polarization factor, no thermal factor.

The 10 most intense peaks (2θ = 10–90°), most intense first:
7.479 Å, intensity 100; 4.279 Å, intensity 97; 3.793 Å, intensity 67; 3.011 Å, intensity 53; 6.687 Å, intensity 48; 2.934 Å, intensity 43; 6.215 Å, intensity 40; 3.848 Å, intensity 38; 3.104 Å, intensity 38; 3.476 Å, intensity 31

Structural model:
```
GaS5Br
1.0
3.993 0.000 0.000
-1.691 7.164 0.000
-0.412 -2.877 7.479
Ga S Br
1 5 1
Direct
0.000 0.000 0.000
0.021 0.562 0.687
0.450 0.386 0.919
0.575 0.213 0.069
0.600 0.324 0.672
0.837 0.808 0.706
0.915 0.894 0.240
```

Structure and calculated X-ray diffraction stick pattern of NaBNO2 (a PBE-relaxed structure; copper Kα).
Kinematic intensities with the Lorentz-polarization factor, no thermal factor.

The 10 most intense peaks (2θ = 10–90°), most intense first:
1.976 Å, intensity 100; 1.867 Å, intensity 62; 1.164 Å, intensity 18; 2.328 Å, intensity 17; 1.098 Å, intensity 17; 1.320 Å, intensity 15; 1.489 Å, intensity 12; 1.457 Å, intensity 8; 2.641 Å, intensity 6; 1.148 Å, intensity 2

Structural model:
```
NaBNO2
1.0
3.734 0.000 0.000
0.000 3.734 0.000
0.000 0.000 2.977
Na B N O
1 1 1 2
Direct
0.000 0.000 0.000
0.500 0.500 0.500
0.500 0.500 0.000
0.000 0.500 0.500
0.500 0.000 0.500
```

Structure and calculated X-ray diffraction stick pattern of Pm3Ni2Ir (a PBE-relaxed structure; copper Kα).
Kinematic intensities with the Lorentz-polarization factor, no thermal factor.

The 10 most intense peaks (2θ = 10–90°), most intense first:
2.814 Å, intensity 100; 2.524 Å, intensity 69; 2.198 Å, intensity 40; 2.892 Å, intensity 39; 2.029 Å, intensity 39; 2.311 Å, intensity 34; 1.426 Å, intensity 23; 8.239 Å, intensity 23; 5.230 Å, intensity 22; 2.841 Å, intensity 22

Structural model:
```
Pm3Ni2Ir
1.0
11.581 0.000 0.000
0.000 4.058 0.000
0.000 0.000 11.724
Pm Ni Ir
12 8 4
Direct
0.059 0.250 0.122
0.120 0.750 0.558
0.206 0.250 0.807
0.294 0.750 0.307
0.380 0.250 0.058
0.441 0.750 0.622
0.559 0.250 0.378
0.620 0.750 0.942
0.706 0.250 0.693
0.794 0.750 0.193
0.880 0.250 0.442
0.941 0.750 0.878
0.020 0.750 0.305
0.184 0.750 0.991
0.316 0.250 0.491
0.480 0.250 0.805
0.520 0.750 0.195
0.684 0.750 0.509
0.816 0.250 0.009
0.980 0.250 0.695
0.127 0.250 0.372
0.373 0.750 0.872
0.627 0.250 0.128
0.873 0.750 0.628
```

Structure and calculated X-ray diffraction stick pattern of Pa3Fe9SiB2 (a PBE-relaxed structure; copper Kα).
Kinematic intensities with the Lorentz-polarization factor, no thermal factor.

The 10 most intense peaks (2θ = 10–90°), most intense first:
2.332 Å, intensity 100; 2.858 Å, intensity 79; 2.021 Å, intensity 75; 4.041 Å, intensity 60; 1.218 Å, intensity 35; 2.338 Å, intensity 33; 1.807 Å, intensity 32; 1.649 Å, intensity 24; 1.427 Å, intensity 23; 1.430 Å, intensity 23

Structural model:
```
Pa3Fe9SiB2
1.0
5.710 0.000 0.000
-2.855 4.945 0.000
0.000 0.000 7.014
Pa Fe Si B
3 9 1 2
Direct
0.000 0.000 0.000
0.333 0.667 0.668
0.667 0.333 0.332
0.000 0.500 0.000
0.177 0.355 0.319
0.177 0.823 0.319
0.355 0.177 0.681
0.500 0.000 0.000
0.500 0.500 0.000
0.645 0.823 0.319
0.823 0.177 0.681
0.823 0.645 0.681
0.000 0.000 0.500
0.333 0.667 0.149
0.667 0.333 0.851
```

Structure and calculated X-ray diffraction stick pattern of Ca3AcIr8 (a PBE-relaxed structure; copper Kα).
Kinematic intensities with the Lorentz-polarization factor, no thermal factor.

The 10 most intense peaks (2θ = 10–90°), most intense first:
2.264 Å, intensity 100; 2.309 Å, intensity 83; 2.071 Å, intensity 44; 2.503 Å, intensity 43; 4.683 Å, intensity 40; 4.142 Å, intensity 29; 1.415 Å, intensity 28; 2.221 Å, intensity 27; 1.352 Å, intensity 27; 4.442 Å, intensity 22

Structural model:
```
Ca3AcIr8
1.0
5.407 0.000 0.000
-2.704 4.683 0.000
0.000 0.000 8.884
Ca Ac Ir
3 1 8
Direct
0.000 0.000 0.000
0.000 0.000 0.356
0.333 0.667 0.872
0.333 0.667 0.502
0.005 0.503 0.179
0.325 0.163 0.688
0.497 0.503 0.179
0.497 0.995 0.179
0.667 0.333 0.430
0.667 0.333 0.932
0.837 0.163 0.688
0.837 0.675 0.688
```